No. 1
For Lu2Fe4Si9, the GGA-PBE geometry in the Materials Project gives the computed X-ray diffraction stick pattern in this record (Cu Kα (weighted mean of Kα1 and Kα2)).
Intensities are scaled so that the largest is 100.

The 10 most intense peaks (2θ = 15–90°), low angle first:
2θ (°)  I (rel.)
26.19  19
26.80  41
31.27  100
33.92  19
38.82  49
43.35  40
46.22  70
56.86  18
58.55  23
59.05  19

Crystal structure
abc: 3.928 3.928 15.857
angles: 90.00 90.00 120.00
Sites, in units of the cell vectors:
Lu 0.333 0.667 0.241
Lu 0.667 0.333 0.759
Fe 0.333 0.667 0.591
Fe 0.333 0.667 0.897
Fe 0.667 0.333 0.103
Fe 0.667 0.333 0.409
Si 0.000 0.000 0.130
Si 0.000 0.000 0.347
Si 0.000 0.000 0.500
Si 0.000 0.000 0.653
Si 0.000 0.000 0.870
Si 0.333 0.667 0.043
Si 0.333 0.667 0.434
Si 0.667 0.333 0.566
Si 0.667 0.333 0.957

***

No. 2
For KErS2O10, the GGA-PBE geometry in the Materials Project gives the computed X-ray diffraction stick pattern in this record (Cu Kα (weighted mean of Kα1 and Kα2)).
Intensities are scaled so that the largest is 100.

The 10 most intense peaks (2θ = 15–90°), low angle first:
2θ (°)  I (rel.)
20.72  51
21.39  33
21.79  97
22.25  39
24.82  37
28.13  43
28.31  100
30.24  69
37.37  34
44.44  32

Crystal structure
abc: 10.982 8.157 10.102
angles: 90.00 98.95 90.00
Sites, in units of the cell vectors:
K 0.133 0.232 0.091
K 0.133 0.268 0.591
K 0.867 0.732 0.409
K 0.867 0.768 0.909
Er 0.318 0.736 0.033
Er 0.318 0.764 0.533
Er 0.682 0.236 0.467
Er 0.682 0.264 0.967
S 0.117 0.727 0.206
S 0.117 0.773 0.706
S 0.469 0.150 0.689
S 0.469 0.350 0.189
S 0.531 0.650 0.811
S 0.531 0.850 0.311
S 0.883 0.227 0.294
S 0.883 0.273 0.794
O 0.018 0.215 0.321
O 0.018 0.285 0.821
O 0.158 0.723 0.357
O 0.158 0.777 0.857
O 0.165 0.621 0.649
O 0.165 0.879 0.149
O 0.179 0.587 0.146
O 0.179 0.913 0.646
O 0.290 0.029 0.450
O 0.290 0.471 0.950
O 0.292 0.012 0.965
O 0.292 0.488 0.465
O 0.359 0.232 0.720
O 0.359 0.268 0.220
O 0.437 0.518 0.128
O 0.437 0.982 0.628
O 0.440 0.618 0.688
O 0.440 0.882 0.188
O 0.469 0.745 0.907
O 0.469 0.755 0.407
O 0.531 0.245 0.593
O 0.531 0.255 0.093
O 0.560 0.118 0.812
O 0.560 0.382 0.312
O 0.563 0.018 0.372
O 0.563 0.482 0.872
O 0.641 0.732 0.780
O 0.641 0.768 0.280
O 0.708 0.512 0.535
O 0.708 0.988 0.035
O 0.710 0.529 0.050
O 0.710 0.971 0.550
O 0.821 0.087 0.354
O 0.821 0.413 0.854
O 0.835 0.121 0.851
O 0.835 0.379 0.351
O 0.842 0.223 0.143
O 0.842 0.277 0.643
O 0.982 0.715 0.179
O 0.982 0.785 0.679

***

No. 3
For Sc6N2O5, the GGA-PBE geometry in the Materials Project gives the computed X-ray diffraction stick pattern in this record (Cu Kα (weighted mean of Kα1 and Kα2)).
Intensities are scaled so that the largest is 100.

The 10 most intense peaks (2θ = 15–90°), low angle first:
2θ (°)  I (rel.)
16.80  17
21.24  10
34.77  29
34.97  9
40.42  100
58.34  19
58.42  10
58.63  28
69.85  7
73.40  13

Crystal structure
abc: 5.466 5.470 5.473
angles: 99.80 99.84 99.69
Sites, in units of the cell vectors:
Sc 0.000 0.000 0.000
Sc 0.124 0.568 0.280
Sc 0.280 0.152 0.584
Sc 0.409 0.697 0.873
Sc 0.564 0.278 0.155
Sc 0.698 0.862 0.447
N 0.221 0.348 0.947
N 0.347 0.925 0.225
O 0.068 0.803 0.644
O 0.472 0.506 0.502
O 0.622 0.048 0.800
O 0.768 0.652 0.104
O 0.922 0.198 0.348

***

No. 4
For LaTb3, the GGA-PBE geometry in the Materials Project gives the computed X-ray diffraction stick pattern in this record (Cu Kα (weighted mean of Kα1 and Kα2)).
Intensities are scaled so that the largest is 100.

The 10 most intense peaks (2θ = 15–90°), low angle first:
2θ (°)  I (rel.)
30.24  100
34.97  34
35.24  17
50.28  12
50.48  24
59.81  29
60.16  14
62.88  12
81.84  6
82.15  12

Crystal structure
abc: 6.255 6.255 6.255
angles: 131.56 131.56 70.93
Sites, in units of the cell vectors:
La 0.000 0.000 0.000
Tb 0.250 0.750 0.500
Tb 0.500 0.500 0.000
Tb 0.750 0.250 0.500

***

No. 5
For SbO2, the GGA-PBE geometry in the Materials Project gives the computed X-ray diffraction stick pattern in this record (Cu Kα (weighted mean of Kα1 and Kα2)).
Intensities are scaled so that the largest is 100.

The 10 most intense peaks (2θ = 15–90°), low angle first:
2θ (°)  I (rel.)
26.42  55
27.29  100
29.80  78
30.99  73
32.16  43
33.12  79
36.29  96
42.31  50
46.44  37
54.35  78

Crystal structure
abc: 5.943 12.295 6.535
angles: 90.00 90.00 90.00
Sites, in units of the cell vectors:
Sb 0.000 0.000 0.000
Sb 0.000 0.500 0.000
Sb 0.250 0.075 0.465
Sb 0.250 0.425 0.465
Sb 0.500 0.000 0.000
Sb 0.500 0.500 0.000
Sb 0.750 0.575 0.535
Sb 0.750 0.925 0.535
O 0.003 0.521 0.316
O 0.003 0.979 0.316
O 0.250 0.108 0.046
O 0.250 0.392 0.046
O 0.250 0.606 0.967
O 0.250 0.894 0.967
O 0.497 0.521 0.316
O 0.497 0.979 0.316
O 0.503 0.021 0.684
O 0.503 0.479 0.684
O 0.750 0.106 0.033
O 0.750 0.394 0.033
O 0.750 0.608 0.954
O 0.750 0.892 0.954
O 0.997 0.021 0.684
O 0.997 0.479 0.684

***

No. 6
For Mg16Si8HO32, the GGA-PBE geometry in the Materials Project gives the computed X-ray diffraction stick pattern in this record (Cu Kα (weighted mean of Kα1 and Kα2)).
Intensities are scaled so that the largest is 100.

The 10 most intense peaks (2θ = 15–90°), low angle first:
2θ (°)  I (rel.)
22.34  87
22.60  87
31.76  85
31.86  94
35.08  100
35.62  74
36.00  73
39.35  68
51.87  74
60.71  89

Crystal structure
abc: 6.103 9.636 10.397
angles: 90.16 90.65 90.73
Sites, in units of the cell vectors:
Mg 0.000 0.000 0.000
Mg 0.000 0.249 0.524
Mg 0.244 0.754 0.231
Mg 0.245 0.510 0.732
Mg 0.249 0.007 0.732
Mg 0.287 0.242 0.224
Mg 0.494 0.755 0.511
Mg 0.496 0.508 0.007
Mg 0.499 0.254 0.513
Mg 0.503 0.004 0.009
Mg 0.723 0.514 0.285
Mg 0.747 0.001 0.292
Mg 0.747 0.260 0.791
Mg 0.747 0.758 0.787
Mg 0.994 0.756 0.510
Mg 0.996 0.507 0.010
Si 0.241 0.467 0.413
Si 0.248 0.292 0.915
Si 0.248 0.970 0.416
Si 0.250 0.790 0.914
Si 0.744 0.541 0.605
Si 0.745 0.040 0.608
Si 0.749 0.722 0.103
Si 0.752 0.224 0.107
H 0.976 0.304 0.290
O 0.001 0.391 0.350
O 0.030 0.896 0.345
O 0.034 0.367 0.846
O 0.035 0.864 0.844
O 0.238 0.636 0.414
O 0.244 0.394 0.558
O 0.246 0.895 0.561
O 0.247 0.365 0.062
O 0.247 0.621 0.916
O 0.248 0.865 0.060
O 0.250 0.140 0.418
O 0.251 0.122 0.919
O 0.447 0.393 0.339
O 0.462 0.894 0.348
O 0.465 0.366 0.848
O 0.466 0.866 0.847
O 0.529 0.615 0.673
O 0.530 0.650 0.171
O 0.531 0.115 0.675
O 0.543 0.138 0.171
O 0.738 0.394 0.103
O 0.740 0.614 0.458
O 0.745 0.371 0.604
O 0.745 0.870 0.603
O 0.748 0.648 0.957
O 0.749 0.115 0.462
O 0.756 0.893 0.102
O 0.766 0.147 0.964
O 0.960 0.645 0.174
O 0.961 0.176 0.199
O 0.963 0.114 0.679
O 0.963 0.616 0.672

***

No. 7
For Ba3InAs3, the GGA-PBE geometry in the Materials Project gives the computed X-ray diffraction stick pattern in this record (Cu Kα (weighted mean of Kα1 and Kα2)).
Intensities are scaled so that the largest is 100.

The 10 most intense peaks (2θ = 15–90°), low angle first:
2θ (°)  I (rel.)
26.17  44
27.08  93
27.47  88
27.90  43
29.23  69
31.06  64
31.63  100
33.46  88
38.48  81
48.62  40

Crystal structure
abc: 14.205 4.680 14.706
angles: 90.00 90.00 90.00
Sites, in units of the cell vectors:
Ba 0.077 0.250 0.108
Ba 0.136 0.750 0.503
Ba 0.222 0.750 0.798
Ba 0.278 0.250 0.298
Ba 0.364 0.250 0.003
Ba 0.423 0.750 0.608
Ba 0.577 0.250 0.392
Ba 0.636 0.750 0.997
Ba 0.722 0.750 0.702
Ba 0.778 0.250 0.202
Ba 0.864 0.250 0.497
Ba 0.923 0.750 0.892
In 0.055 0.250 0.703
In 0.445 0.750 0.203
In 0.555 0.250 0.797
In 0.945 0.750 0.297
As 0.042 0.250 0.351
As 0.089 0.250 0.885
As 0.234 0.250 0.627
As 0.266 0.750 0.127
As 0.411 0.750 0.385
As 0.458 0.750 0.851
As 0.542 0.250 0.149
As 0.589 0.250 0.615
As 0.734 0.250 0.873
As 0.766 0.750 0.373
As 0.911 0.750 0.115
As 0.958 0.750 0.649